Record 1
Diffraction record for Mg5Rh2. The PXRD pattern is simulated, not measured: it uses a crystal structure in Alexandria, relaxed with PBE and Cu Kα (λ = 1.5418 Å).

Cell and atoms:
```
data_Mg5Rh2
_chemical_formula_sum 'Mg20 Rh8'
_symmetry_space_group_name_H-M 'P 63/m m c'
_symmetry_Int_Tables_number 194
_symmetry_space_group_name_Hall '-P 6c 2c'
_cell_length_a 8.6256
_cell_length_b 8.6256
_cell_length_c 8.0239
_cell_angle_alpha 90.00
_cell_angle_beta 90.00
_cell_angle_gamma 120.00
loop_
_atom_site_label
_atom_site_fract_x
_atom_site_fract_y
_atom_site_fract_z
Mg1 0.0000 0.0000 0.0000
Mg2 0.0804 0.5402 0.2500
Mg3 0.1914 0.3827 0.5642
Rh1 0.1223 0.2447 0.2500
Rh2 0.3333 0.6667 0.7500
```

Peak list (12 most intense, 10 to 90 degrees two-theta, by intensity)
| Position (°2θ) | intensity |
| --- | --- |
| 26.3 | 1000 |
| 37.8 | 802 |
| 41.5 | 789 |
| 39.0 | 769 |
| 22.2 | 574 |
| 11.8 | 536 |
| 45.2 | 493 |
| 41.9 | 299 |
| 56.2 | 222 |
| 23.8 | 204 |
| 50.0 | 162 |
| 69.7 | 159 |

Record 2
Diffraction record for Mg6Rh5. The PXRD pattern is simulated, not measured: it uses a crystal structure in Alexandria, relaxed with PBE and Cu Kα (λ = 1.5418 Å).

Cell and atoms:
```
data_Mg6Rh5
_chemical_formula_sum 'Mg12 Rh10'
_symmetry_space_group_name_H-M 'I m m m'
_symmetry_Int_Tables_number 71
_symmetry_space_group_name_Hall '-I 2 2'
_cell_length_a 4.395
_cell_length_b 6.271
_cell_length_c 13.124
_cell_angle_alpha 90.00
_cell_angle_beta 90.00
_cell_angle_gamma 90.00
loop_
_atom_site_label
_atom_site_fract_x
_atom_site_fract_y
_atom_site_fract_z
Mg1 0.000 0.244 0.000
Mg2 0.000 0.253 0.336
Rh1 0.000 0.000 0.170
Rh2 0.000 0.000 0.500
Rh3 0.000 0.500 0.164
```

Peak list (12 most intense, 10 to 90 degrees two-theta, by intensity)
| Position (°2θ) | intensity |
| --- | --- |
| 40.9 | 1000 |
| 28.8 | 393 |
| 41.1 | 248 |
| 41.3 | 242 |
| 28.5 | 203 |
| 74.7 | 161 |
| 59.6 | 159 |
| 75.0 | 156 |
| 15.7 | 150 |
| 67.4 | 112 |
| 88.8 | 103 |
| 13.5 | 97 |

Record 3
Diffraction record for Mg2SbRh4. The PXRD pattern is simulated, not measured: it uses a crystal structure in Alexandria, relaxed with PBE and Cu Kα (λ = 1.5418 Å).

Cell and atoms:
```
data_Mg2SbRh4
_chemical_formula_sum 'Mg4 Sb2 Rh8'
_symmetry_space_group_name_H-M 'I 4/m m m'
_symmetry_Int_Tables_number 139
_symmetry_space_group_name_Hall '-I 4 2'
_cell_length_a 6.188
_cell_length_b 6.188
_cell_length_c 6.094
_cell_angle_alpha 90.00
_cell_angle_beta 90.00
_cell_angle_gamma 90.00
loop_
_atom_site_label
_atom_site_fract_x
_atom_site_fract_y
_atom_site_fract_z
Mg1 0.000 0.500 0.000
Sb1 0.000 0.000 0.000
Rh1 0.250 0.250 0.250
```

Peak list (12 most intense, 10 to 90 degrees two-theta, by intensity)
| Position (°2θ) | intensity |
| --- | --- |
| 41.6 | 1000 |
| 41.3 | 512 |
| 75.5 | 332 |
| 20.5 | 264 |
| 28.9 | 243 |
| 59.8 | 167 |
| 76.1 | 162 |
| 35.6 | 128 |
| 29.3 | 117 |
| 51.4 | 95 |
| 60.8 | 79 |
| 89.6 | 55 |

Record 4
Diffraction record for Mg3ScRh3. The PXRD pattern is simulated, not measured: it uses a crystal structure in Alexandria, relaxed with PBE and Cu Kα (λ = 1.5418 Å).

Cell and atoms:
```
data_Mg3ScRh3
_chemical_formula_sum 'Mg12 Sc4 Rh12'
_symmetry_space_group_name_H-M 'C m m m'
_symmetry_Int_Tables_number 65
_symmetry_space_group_name_Hall '-C 2 2'
_cell_length_a 8.861
_cell_length_b 8.968
_cell_length_c 6.221
_cell_angle_alpha 90.00
_cell_angle_beta 90.00
_cell_angle_gamma 90.00
loop_
_atom_site_label
_atom_site_fract_x
_atom_site_fract_y
_atom_site_fract_z
Mg1 0.000 0.249 0.000
Mg2 0.248 0.500 0.000
Mg3 0.250 0.000 0.500
Sc1 0.000 0.238 0.500
Rh1 0.000 0.000 0.246
Rh2 0.250 0.250 0.248
```

Peak list (12 most intense, 10 to 90 degrees two-theta, by intensity)
| Position (°2θ) | intensity |
| --- | --- |
| 40.8 | 1000 |
| 14.1 | 360 |
| 28.3 | 214 |
| 40.2 | 206 |
| 74.2 | 192 |
| 58.6 | 132 |
| 73.5 | 130 |
| 19.8 | 108 |
| 28.7 | 103 |
| 88.3 | 102 |
| 32.1 | 86 |
| 59.4 | 64 |

Record 5
Diffraction record for MgSc2Rh. The PXRD pattern is simulated, not measured: it uses a crystal structure in Alexandria, relaxed with PBE and Cu Kα (λ = 1.5418 Å).

Cell and atoms:
```
data_MgSc2Rh
_chemical_formula_sum 'Mg2 Sc4 Rh2'
_symmetry_space_group_name_H-M 'I m m m'
_symmetry_Int_Tables_number 71
_symmetry_space_group_name_Hall '-I 2 2'
_cell_length_a 3.693
_cell_length_b 4.977
_cell_length_c 8.689
_cell_angle_alpha 90.00
_cell_angle_beta 90.00
_cell_angle_gamma 90.00
loop_
_atom_site_label
_atom_site_fract_x
_atom_site_fract_y
_atom_site_fract_z
Mg1 0.000 0.000 0.000
Sc1 0.000 0.500 0.209
Rh1 0.000 0.000 0.500
```

Peak list (12 most intense, 10 to 90 degrees two-theta, by intensity)
| Position (°2θ) | intensity |
| --- | --- |
| 36.7 | 1000 |
| 20.6 | 542 |
| 36.1 | 291 |
| 39.5 | 185 |
| 65.3 | 169 |
| 54.6 | 138 |
| 41.6 | 126 |
| 49.3 | 114 |
| 62.6 | 107 |
| 56.2 | 100 |
| 26.2 | 90 |
| 54.0 | 88 |

Record 6
Diffraction record for Mg3Si2Rh. The PXRD pattern is simulated, not measured: it uses a crystal structure in Alexandria, relaxed with PBE and Cu Kα (λ = 1.5418 Å).

Cell and atoms:
```
data_Mg3Si2Rh
_chemical_formula_sum 'Mg12 Si8 Rh4'
_symmetry_space_group_name_H-M 'P 1 21/c 1'
_symmetry_Int_Tables_number 14
_cell_length_a 7.097
_cell_length_b 8.055
_cell_length_c 7.284
_cell_angle_alpha 90.00
_cell_angle_beta 92.03
_cell_angle_gamma 90.00
loop_
_symmetry_equiv_pos_as_xyz
'x,y,z'
'-x,-y,-z'
'-x,y+1/2,-z+1/2'
'x,-y+1/2,z+1/2'
loop_
_atom_site_label
_atom_site_fract_x
_atom_site_fract_y
_atom_site_fract_z
Mg1 0.125 0.138 0.444
Mg2 0.236 0.730 0.311
Mg3 0.334 0.061 0.099
Si1 0.039 0.057 0.830
Si2 0.491 0.649 0.070
Rh1 0.374 0.110 0.733
```

Peak list (12 most intense, 10 to 90 degrees two-theta, by intensity)
| Position (°2θ) | intensity |
| --- | --- |
| 12.5 | 1000 |
| 25.3 | 585 |
| 20.9 | 568 |
| 35.8 | 524 |
| 36.5 | 521 |
| 43.5 | 520 |
| 16.7 | 491 |
| 42.2 | 417 |
| 24.5 | 382 |
| 41.3 | 373 |
| 30.5 | 316 |
| 44.1 | 255 |

Record 7
Diffraction record for SmMg3Rh. The PXRD pattern is simulated, not measured: it uses a crystal structure in Alexandria, relaxed with PBE and Cu Kα (λ = 1.5418 Å).

Cell and atoms:
```
data_SmMg3Rh
_chemical_formula_sum 'Sm2 Mg6 Rh2'
_symmetry_space_group_name_H-M 'P 1 21/m 1'
_symmetry_Int_Tables_number 11
_cell_length_a 5.472
_cell_length_b 5.902
_cell_length_c 7.362
_cell_angle_alpha 90.00
_cell_angle_beta 107.95
_cell_angle_gamma 90.00
loop_
_symmetry_equiv_pos_as_xyz
'x,y,z'
'-x,-y,-z'
'-x,y+1/2,-z'
'x,-y+1/2,z'
loop_
_atom_site_label
_atom_site_fract_x
_atom_site_fract_y
_atom_site_fract_z
Sm1 0.100 0.250 0.400
Mg1 0.028 0.250 0.886
Mg2 0.495 0.501 0.206
Rh1 0.334 0.750 0.469
```

Peak list (12 most intense, 10 to 90 degrees two-theta, by intensity)
| Position (°2θ) | intensity |
| --- | --- |
| 12.6 | 1000 |
| 32.9 | 272 |
| 37.8 | 229 |
| 36.3 | 211 |
| 30.3 | 186 |
| 38.3 | 177 |
| 39.3 | 166 |
| 35.0 | 160 |
| 63.0 | 129 |
| 29.7 | 121 |
| 40.0 | 121 |
| 59.2 | 116 |

Record 8
Diffraction record for Sm3Mg2Rh3. The PXRD pattern is simulated, not measured: it uses a crystal structure in Alexandria, relaxed with PBE and Cu Kα (λ = 1.5418 Å).

Cell and atoms:
```
data_Sm3Mg2Rh3
_chemical_formula_sum 'Sm6 Mg4 Rh6'
_symmetry_space_group_name_H-M 'P 63/m c m'
_symmetry_Int_Tables_number 193
_symmetry_space_group_name_Hall '-P 6c 2'
_cell_length_a 8.2938
_cell_length_b 8.2938
_cell_length_c 5.8593
_cell_angle_alpha 90.00
_cell_angle_beta 90.00
_cell_angle_gamma 120.00
loop_
_atom_site_label
_atom_site_fract_x
_atom_site_fract_y
_atom_site_fract_z
Sm1 0.0000 0.2694 0.2500
Mg1 0.3333 0.6667 0.0000
Rh1 0.0000 0.3930 0.7500
```

Peak list (12 most intense, 10 to 90 degrees two-theta, by intensity)
| Position (°2θ) | intensity |
| --- | --- |
| 36.5 | 1000 |
| 37.6 | 835 |
| 21.4 | 488 |
| 30.5 | 465 |
| 58.2 | 429 |
| 49.1 | 234 |
| 48.3 | 219 |
| 75.5 | 216 |
| 33.0 | 126 |
| 71.3 | 124 |
| 60.5 | 99 |
| 76.2 | 98 |

Record 9
Diffraction record for SmMg4Rh. The PXRD pattern is simulated, not measured: it uses a crystal structure in Alexandria, relaxed with PBE and Cu Kα (λ = 1.5418 Å).

Cell and atoms:
```
data_SmMg4Rh
_chemical_formula_sum 'Sm2 Mg8 Rh2'
_symmetry_space_group_name_H-M 'P m m a'
_symmetry_Int_Tables_number 51
_cell_length_a 8.678
_cell_length_b 4.230
_cell_length_c 7.387
_cell_angle_alpha 90.00
_cell_angle_beta 90.00
_cell_angle_gamma 90.00
loop_
_symmetry_equiv_pos_as_xyz
'x,y,z'
'-x,-y,-z'
'-x+1/2,-y,z'
'x+1/2,y,-z'
'x+1/2,-y,-z'
'-x+1/2,y,z'
'-x,y,-z'
'x,-y,z'
loop_
_atom_site_label
_atom_site_fract_x
_atom_site_fract_y
_atom_site_fract_z
Sm1 0.250 0.000 0.093
Mg1 0.000 0.000 0.500
Mg2 0.063 0.500 0.803
Mg3 0.250 0.500 0.459
Rh1 0.250 0.000 0.714
```

Peak list (12 most intense, 10 to 90 degrees two-theta, by intensity)
| Position (°2θ) | intensity |
| --- | --- |
| 33.8 | 1000 |
| 20.5 | 977 |
| 29.5 | 956 |
| 21.0 | 793 |
| 31.9 | 722 |
| 38.0 | 560 |
| 26.2 | 559 |
| 43.8 | 453 |
| 42.7 | 384 |
| 39.6 | 376 |
| 53.5 | 350 |
| 58.5 | 336 |

Record 10
Diffraction record for Sm3MgRh4. The PXRD pattern is simulated, not measured: it uses a crystal structure in Alexandria, relaxed with PBE and Cu Kα (λ = 1.5418 Å).

Cell and atoms:
```
data_Sm3MgRh4
_chemical_formula_sum 'Sm9 Mg3 Rh12'
_symmetry_space_group_name_H-M 'R -3 m'
_symmetry_Int_Tables_number 166
_symmetry_space_group_name_Hall '-R 3 2"'
_cell_length_a 4.8302
_cell_length_b 4.8302
_cell_length_c 23.7162
_cell_angle_alpha 90.00
_cell_angle_beta 90.00
_cell_angle_gamma 120.00
loop_
_atom_site_label
_atom_site_fract_x
_atom_site_fract_y
_atom_site_fract_z
Sm1 0.0000 0.0000 0.0000
Sm2 0.0000 0.0000 0.2440
Mg1 0.0000 0.0000 0.5000
Rh1 0.0000 0.0000 0.1248
Rh2 0.0000 0.0000 0.3771
```

Peak list (12 most intense, 10 to 90 degrees two-theta, by intensity)
| Position (°2θ) | intensity |
| --- | --- |
| 37.2 | 1000 |
| 67.1 | 260 |
| 53.6 | 170 |
| 67.0 | 78 |
| 79.3 | 55 |
| 79.2 | 48 |
| 28.4 | 46 |
| 21.6 | 45 |
| 22.5 | 45 |
| 11.2 | 25 |
| 51.3 | 23 |
| 43.9 | 22 |

Record 11
Diffraction record for Tb2SmMgRh4. The PXRD pattern is simulated, not measured: it uses a crystal structure in Alexandria, relaxed with PBE and Cu Kα (λ = 1.5418 Å).

Cell and atoms:
```
data_Tb2SmMgRh4
_chemical_formula_sum 'Tb6 Sm3 Mg3 Rh12'
_symmetry_space_group_name_H-M 'R -3 m'
_symmetry_Int_Tables_number 166
_symmetry_space_group_name_Hall '-R 3 2"'
_cell_length_a 4.7785
_cell_length_b 4.7785
_cell_length_c 23.5373
_cell_angle_alpha 90.00
_cell_angle_beta 90.00
_cell_angle_gamma 120.00
loop_
_atom_site_label
_atom_site_fract_x
_atom_site_fract_y
_atom_site_fract_z
Tb1 0.0000 0.0000 0.2438
Sm1 0.0000 0.0000 0.0000
Mg1 0.0000 0.0000 0.5000
Rh1 0.0000 0.0000 0.1253
Rh2 0.0000 0.0000 0.3776
```

Peak list (12 most intense, 10 to 90 degrees two-theta, by intensity)
| Position (°2θ) | intensity |
| --- | --- |
| 37.6 | 1000 |
| 37.5 | 973 |
| 67.9 | 509 |
| 54.2 | 333 |
| 67.6 | 151 |
| 80.4 | 108 |
| 28.7 | 96 |
| 80.0 | 94 |
| 21.8 | 86 |
| 22.8 | 76 |
| 44.4 | 47 |
| 51.8 | 44 |

Record 12
Diffraction record for SmMgTlRh. The PXRD pattern is simulated, not measured: it uses a crystal structure in Alexandria, relaxed with PBE and Cu Kα (λ = 1.5418 Å).

Cell and atoms:
```
data_SmMgTlRh
_chemical_formula_sum 'Sm4 Mg4 Tl4 Rh4'
_symmetry_space_group_name_H-M 'F -4 3 m'
_symmetry_Int_Tables_number 216
_symmetry_space_group_name_Hall 'F -4 2 3'
_cell_length_a 7.065
_cell_length_b 7.065
_cell_length_c 7.065
_cell_angle_alpha 90.00
_cell_angle_beta 90.00
_cell_angle_gamma 90.00
loop_
_atom_site_label
_atom_site_fract_x
_atom_site_fract_y
_atom_site_fract_z
Sm1 0.000 0.000 0.000
Mg1 0.000 0.000 0.500
Tl1 0.250 0.250 0.250
Rh1 0.250 0.250 0.750
```

Peak list (12 most intense, 10 to 90 degrees two-theta, by intensity)
| Position (°2θ) | intensity |
| --- | --- |
| 36.0 | 1000 |
| 64.6 | 362 |
| 21.8 | 241 |
| 51.8 | 177 |
| 87.3 | 163 |
| 42.4 | 133 |
| 76.2 | 112 |
| 25.2 | 90 |
| 56.8 | 58 |
| 80.4 | 44 |
| 69.1 | 44 |
| 58.4 | 37 |